(1)
# La4HoTm3
Computed powder X-ray diffraction pattern, Cu Kα. Input: a cell relaxed with GGA-PBE.

Structural model:
```
data_La4HoTm3
_chemical_formula_sum 'La8 Ho2 Tm6'
_space_group_name_H-M_alt 'P m n 21'
_space_group_IT_number 31
_space_group_name_Hall 'P 2ac -2'
_cell_length_a 11.617
_cell_length_b 7.305
_cell_length_c 6.355
_cell_angle_alpha 90.00
_cell_angle_beta 90.00
_cell_angle_gamma 90.00
loop_
_atom_site_label
_atom_site_type_symbol
_atom_site_fract_x
_atom_site_fract_y
_atom_site_fract_z
_atom_site_occupancy
La1 La 0.000 0.128 0.000 1
La2 La 0.000 0.871 0.511 1
La3 La 0.246 0.127 0.335 1
Ho1 Ho 0.000 0.621 0.008 1
Tm1 Tm 0.000 0.383 0.506 1
Tm2 Tm 0.250 0.381 0.835 1
```

Top 10 peaks for 2θ from 15° to 90°, by angle:
2θ/deg	I (rel.)
28.15	24
30.79	25
32.17	100
42.20	16
49.76	13
49.94	6
55.62	21
59.66	15
59.82	7
60.62	11



(2)
# SnBCl
Computed powder X-ray diffraction pattern, Cu Kα. Input: a cell relaxed with GGA-PBE.

Structural model:
```
data_SnBCl
_chemical_formula_sum 'Sn4 B4 Cl4'
_space_group_name_H-M_alt 'P 1 21/c 1'
_space_group_IT_number 14
_space_group_name_Hall '-P 2ybc'
_cell_length_a 10.620
_cell_length_b 3.849
_cell_length_c 7.064
_cell_angle_alpha 90.00
_cell_angle_beta 105.72
_cell_angle_gamma 90.00
loop_
_atom_site_label
_atom_site_type_symbol
_atom_site_fract_x
_atom_site_fract_y
_atom_site_fract_z
_atom_site_occupancy
Sn1 Sn 0.140 0.003 0.200 1
B1 B 0.062 0.580 0.971 1
Cl1 Cl 0.336 0.146 0.800 1
```

Top 10 peaks for 2θ from 15° to 90°, by angle:
2θ/deg	I (rel.)
26.20	79
26.88	55
27.28	60
29.87	100
33.90	95
35.11	35
41.48	24
46.50	26
51.87	41
54.80	24



(3)
# Pr2Dy9Y
Computed powder X-ray diffraction pattern, Cu Kα. Input: a cell relaxed with GGA-PBE.

Structural model:
```
data_Pr2Dy9Y
_chemical_formula_sum 'Pr2 Dy9 Y1'
_space_group_name_H-M_alt 'P 6/m m m'
_space_group_IT_number 191
_space_group_name_Hall '-P 6 2'
_cell_length_a 11.3115
_cell_length_b 11.3115
_cell_length_c 3.5045
_cell_angle_alpha 90.00
_cell_angle_beta 90.00
_cell_angle_gamma 120.00
loop_
_atom_site_label
_atom_site_type_symbol
_atom_site_fract_x
_atom_site_fract_y
_atom_site_fract_z
_atom_site_occupancy
Pr1 Pr 0.3333 0.6667 0.0000 1
Dy1 Dy 0.0000 0.5000 0.0000 1
Dy2 Dy 0.1733 0.3465 0.5000 1
Y1 Y 0.0000 0.0000 0.0000 1
```

Top 10 peaks for 2θ from 15° to 90°, by angle:
2θ/deg	I (rel.)
30.00	20
31.39	52
31.64	100
35.26	20
45.17	19
56.19	19
56.35	19
62.34	29
80.39	13
88.95	12



(4)
# ZrSe4Cl6
Computed powder X-ray diffraction pattern, Cu Kα. Input: a cell relaxed with GGA-PBE.

Structural model:
```
data_ZrSe4Cl6
_chemical_formula_sum 'Zr4 Se16 Cl24'
_space_group_name_H-M_alt 'P c c n'
_space_group_IT_number 56
_space_group_name_Hall '-P 2ab 2ac'
_cell_length_a 11.156
_cell_length_b 11.251
_cell_length_c 11.190
_cell_angle_alpha 90.00
_cell_angle_beta 90.00
_cell_angle_gamma 90.00
loop_
_atom_site_label
_atom_site_type_symbol
_atom_site_fract_x
_atom_site_fract_y
_atom_site_fract_z
_atom_site_occupancy
Zr1 Zr 0.000 0.000 0.000 1
Se1 Se 0.090 0.116 0.492 1
Se2 Se 0.104 0.575 0.074 1
Cl1 Cl 0.013 0.173 0.858 1
Cl2 Cl 0.141 0.612 0.375 1
Cl3 Cl 0.172 0.083 0.121 1
```

Top 10 peaks for 2θ from 15° to 90°, by angle:
2θ/deg	I (rel.)
15.81	100
15.89	31
19.42	13
22.46	35
23.85	19
26.44	14
29.89	23
34.87	23
41.74	15
42.07	28



(5)
# AcPmNd6Sm2
Computed powder X-ray diffraction pattern, Cu Kα. Input: a cell relaxed with GGA-PBE.

Structural model:
```
data_AcPmNd6Sm2
_chemical_formula_sum 'Ac4 Pm4 Nd24 Sm8'
_space_group_name_H-M_alt 'C 1 2/c 1'
_space_group_IT_number 15
_space_group_name_Hall '-C 2yc'
_cell_length_a 9.386
_cell_length_b 15.678
_cell_length_c 9.922
_cell_angle_alpha 90.00
_cell_angle_beta 96.55
_cell_angle_gamma 90.00
loop_
_atom_site_label
_atom_site_type_symbol
_atom_site_fract_x
_atom_site_fract_y
_atom_site_fract_z
_atom_site_occupancy
Ac1 Ac 0.000 0.025 0.250 1
Pm1 Pm 0.000 0.409 0.750 1
Nd1 Nd 0.065 0.188 0.946 1
Nd2 Nd 0.102 0.395 0.119 1
Nd3 Nd 0.210 0.229 0.316 1
Sm1 Sm 0.248 0.444 0.455 1
```

Top 10 peaks for 2θ from 15° to 90°, by angle:
2θ/deg	I (rel.)
27.27	18
27.38	36
29.48	38
29.69	49
30.08	100
30.50	32
31.11	21
32.71	46
33.53	13
57.31	16



(6)
# MoI2N2
Computed powder X-ray diffraction pattern, Cu Kα. Input: a cell relaxed with GGA-PBE.

Structural model:
```
data_MoI2N2
_chemical_formula_sum 'Mo1 I2 N2'
_space_group_name_H-M_alt 'P 4/m m m'
_space_group_IT_number 123
_space_group_name_Hall '-P 4 2'
_cell_length_a 4.114
_cell_length_b 4.114
_cell_length_c 5.984
_cell_angle_alpha 90.00
_cell_angle_beta 90.00
_cell_angle_gamma 90.00
loop_
_atom_site_label
_atom_site_type_symbol
_atom_site_fract_x
_atom_site_fract_y
_atom_site_fract_z
_atom_site_occupancy
Mo1 Mo 0.000 0.000 0.000 1
I1 I 0.000 0.000 0.500 1
I2 I 0.500 0.500 0.500 1
N1 N 0.000 0.500 0.000 1
```

Top 10 peaks for 2θ from 15° to 90°, by angle:
2θ/deg	I (rel.)
21.60	23
26.29	28
29.86	75
30.74	100
34.28	47
43.39	78
44.03	50
54.11	53
72.23	22
80.52	26



(7)
# B2PPtRhC
Computed powder X-ray diffraction pattern, Cu Kα. Input: a cell relaxed with GGA-PBE.

Structural model:
```
data_B2PPtRhC
_chemical_formula_sum 'B2 P1 Pt1 Rh1 C1'
_space_group_name_H-M_alt 'P 1'
_space_group_IT_number 1
_space_group_name_Hall 'P 1'
_cell_length_a 2.841
_cell_length_b 4.937
_cell_length_c 5.504
_cell_angle_alpha 69.62
_cell_angle_beta 80.17
_cell_angle_gamma 79.28
loop_
_atom_site_label
_atom_site_type_symbol
_atom_site_fract_x
_atom_site_fract_y
_atom_site_fract_z
_atom_site_occupancy
B1 B 0.000 0.000 0.000 1
B2 B 0.410 0.477 0.791 1
P1 P 0.415 0.817 0.471 1
Pt1 Pt 0.775 0.138 0.576 1
Rh1 Rh 0.583 0.670 0.116 1
C1 C 0.922 0.338 0.892 1
```

Top 10 peaks for 2θ from 15° to 90°, by angle:
2θ/deg	I (rel.)
17.30	31
21.37	100
30.10	75
32.28	37
34.76	38
35.01	48
39.31	26
43.52	26
45.29	37
48.68	20



(8)
# Ac14Ru3Pt6
Computed powder X-ray diffraction pattern, Cu Kα. Input: a cell relaxed with GGA-PBE.

Structural model:
```
data_Ac14Ru3Pt6
_chemical_formula_sum 'Ac14 Ru3 Pt6'
_space_group_name_H-M_alt 'P 3 m 1'
_space_group_IT_number 156
_space_group_name_Hall 'P 3 -2"'
_cell_length_a 10.6928
_cell_length_b 10.6928
_cell_length_c 7.4999
_cell_angle_alpha 90.00
_cell_angle_beta 90.00
_cell_angle_gamma 120.00
loop_
_atom_site_label
_atom_site_type_symbol
_atom_site_fract_x
_atom_site_fract_y
_atom_site_fract_z
_atom_site_occupancy
Ac1 Ac 0.0000 0.0000 0.0000 1
Ac2 Ac 0.0806 0.5403 0.2808 1
Ac3 Ac 0.2024 0.4048 0.7614 1
Ac4 Ac 0.2492 0.1246 0.4216 1
Ac5 Ac 0.4186 0.2093 0.9281 1
Ac6 Ac 0.6667 0.3333 0.5090 1
Ru1 Ru 0.0000 0.0000 0.6349 1
Ru2 Ru 0.3333 0.6667 0.5304 1
Ru3 Ru 0.6667 0.3333 0.1391 1
Pt1 Pt 0.1469 0.2937 0.1629 1
Pt2 Pt 0.5192 0.0383 0.6708 1
```

Top 10 peaks for 2θ from 15° to 90°, by angle:
2θ/deg	I (rel.)
25.63	31
28.13	100
30.68	60
31.34	41
33.52	58
41.03	37
46.76	26
49.30	19
50.78	24
51.28	24